No. 1
Simulated powder X-ray diffraction pattern of Ce2Sm3Se6 for Cu Kα (λ = 1.5418 Å), from a DFT-relaxed cell (GGA-PBE, Alexandria).
Peak positions follow from Bragg's law for the DFT cell and can differ from measured ones.

Top 8 peaks for 15 to 90 degrees two-theta, in order of rising 2θ:
two_theta	Rel. int.
30.27	100.0
43.23	37.4
43.45	36.9
53.87	19.5
62.96	12.1
71.29	17.0
71.60	16.6
79.60	12.4

Crystal structure
```
Ce2Sm3Se6
1.0
3.6094 -6.2451 0.0000
3.6094 6.2451 0.0000
-2.4073 0.0000 6.8515
Ce Sm Se
2 3 6
Cartesian
3.6094 4.1689 0.0000
3.6094 -4.1689 0.0000
-1.2037 0.0000 3.4257
2.4057 2.0554 3.4257
2.4057 -2.0554 3.4257
0.0071 2.0676 5.1310
1.2288 0.0000 1.6970
0.0071 -2.0676 5.1310
4.8043 2.0676 1.7205
3.5826 0.0000 5.1544
4.8043 -2.0676 1.7205
```

No. 2
Simulated powder X-ray diffraction pattern of PmBi3Pb for Cu Kα (λ = 1.5418 Å), from a DFT-relaxed cell (GGA-PBE, Alexandria).
Peak positions follow from Bragg's law for the DFT cell and can differ from measured ones.

Top 8 peaks for 15 to 90 degrees two-theta, in order of rising 2θ:
two_theta	Rel. int.
28.09	56.7
30.67	61.4
30.89	60.5
33.48	100.0
34.30	57.1
38.81	31.7
39.36	31.6
52.75	25.4

Crystal structure
```
PmBi3Pb
1.0
10.4286 0.0000 0.0000
0.0000 6.2316 0.0000
0.0000 0.0000 10.4578
Pm Bi Pb
4 12 4
Cartesian
1.2887 0.0286 2.6145
1.2887 3.0872 7.8434
9.1399 3.1444 2.6145
9.1399 6.2031 7.8434
0.3148 4.6737 0.0000
0.3148 4.6737 5.2289
2.2794 6.2313 7.8434
2.2794 3.1161 2.6145
4.5160 3.7514 7.8434
4.5160 5.5960 2.6145
5.9126 0.6356 7.8434
5.9126 2.4802 2.6145
8.1492 0.0003 2.6145
8.1492 3.1155 7.8434
10.1138 1.5579 0.0000
10.1138 1.5579 5.2289
3.8222 1.5579 0.0000
3.8222 1.5579 5.2289
6.6065 4.6737 0.0000
6.6065 4.6737 5.2289
```

No. 3
Simulated powder X-ray diffraction pattern of DyPd2Au5 for Cu Kα (λ = 1.5418 Å), from a DFT-relaxed cell (GGA-PBE, Alexandria).
Peak positions follow from Bragg's law for the DFT cell and can differ from measured ones.

Top 8 peaks for 15 to 90 degrees two-theta, in order of rising 2θ:
two_theta	Rel. int.
37.23	100.0
37.33	99.3
43.04	33.5
43.46	65.0
62.82	43.8
75.08	26.4
75.57	25.7
75.77	25.6

Crystal structure
```
DyPd2Au5
1.0
5.8778 0.0000 0.0000
0.0000 11.8043 0.0000
0.0000 0.0000 4.2035
Dy Pd Au
2 4 10
Cartesian
0.0000 0.0000 0.0000
2.9389 5.9021 0.0000
1.4576 4.4406 2.1018
1.4813 10.3428 2.1018
4.3965 1.4615 2.1018
4.4202 7.3637 2.1018
0.0000 5.9021 0.0000
0.0033 2.9376 0.0000
1.4360 7.4126 2.1018
1.5029 1.5105 2.1018
2.9356 8.8397 0.0000
2.9389 0.0000 0.0000
2.9422 2.9646 0.0000
4.3749 10.2938 2.1018
4.4418 4.3916 2.1018
5.8746 8.8667 0.0000
```